1.
Ho7Rh3: theoretical X-ray diffraction stick pattern (Cu Kα X-rays), based on a structure optimized by DFT (PBE).
Kinematic intensities with the Lorentz-polarization factor, no thermal factor.

```
data_Ho7Rh3
_chemical_formula_sum 'Ho14 Rh6'
_cell_length_a 9.7479
_cell_length_b 9.7479
_cell_length_c 6.1444
_cell_angle_alpha 90.00
_cell_angle_beta 90.00
_cell_angle_gamma 120.00
_space_group_name_H-M_alt 'P 1'
_space_group_IT_number 1
loop_
_space_group_symop_operation_xyz
'x,y,z'
loop_
_atom_site_label
_atom_site_type_symbol
_atom_site_fract_x
_atom_site_fract_y
_atom_site_fract_z
Ho1 Ho 0.0825 0.5413 0.0000
Ho2 Ho 0.1234 0.2469 0.3058
Ho3 Ho 0.1234 0.8766 0.3058
Ho4 Ho 0.2469 0.1234 0.8058
Ho5 Ho 0.3333 0.6667 0.5102
Ho6 Ho 0.4587 0.5413 0.0000
Ho7 Ho 0.4587 0.9175 0.0000
Ho8 Ho 0.5413 0.0825 0.5000
Ho9 Ho 0.5413 0.4587 0.5000
Ho10 Ho 0.6667 0.3333 0.0102
Ho11 Ho 0.7531 0.8766 0.3058
Ho12 Ho 0.8766 0.1234 0.8058
Ho13 Ho 0.8766 0.7531 0.8058
Ho14 Ho 0.9175 0.4587 0.5000
Rh1 Rh 0.1900 0.3799 0.7349
Rh2 Rh 0.1900 0.8100 0.7349
Rh3 Rh 0.3799 0.1900 0.2349
Rh4 Rh 0.6201 0.8100 0.7349
Rh5 Rh 0.8100 0.1900 0.2349
Rh6 Rh 0.8100 0.6201 0.2349
```

Top 10 peaks for 2θ = 10–90°, sorted by position:
| 2θ/deg | Rel. int. |
| --- | --- |
| 30.98 | 44 |
| 31.60 | 100 |
| 31.80 | 17 |
| 35.07 | 54 |
| 36.16 | 41 |
| 36.88 | 32 |
| 55.49 | 24 |
| 56.14 | 22 |
| 56.53 | 21 |
| 56.66 | 19 |

***

2.
Zr2Pd6Pt: theoretical X-ray diffraction stick pattern (Cu Kα X-rays), based on a structure optimized by DFT (PBE).
Kinematic intensities with the Lorentz-polarization factor, no thermal factor.

```
data_Zr2Pd6Pt
_chemical_formula_sum 'Zr2 Pd6 Pt1'
_cell_length_a 6.4060
_cell_length_b 6.4060
_cell_length_c 6.5044
_cell_angle_alpha 107.41
_cell_angle_beta 107.41
_cell_angle_gamma 36.15
_space_group_name_H-M_alt 'P 1'
_space_group_IT_number 1
loop_
_space_group_symop_operation_xyz
'x,y,z'
loop_
_atom_site_label
_atom_site_type_symbol
_atom_site_fract_x
_atom_site_fract_y
_atom_site_fract_z
Zr1 Zr 0.0608 0.0608 0.3153
Zr2 Zr 0.9392 0.9392 0.6847
Pd1 Pd 0.1685 0.1685 0.0017
Pd2 Pd 0.2776 0.2776 0.6656
Pd3 Pd 0.3927 0.3927 0.3343
Pd4 Pd 0.6073 0.6073 0.6657
Pd5 Pd 0.7224 0.7224 0.3344
Pd6 Pd 0.8315 0.8315 0.9983
Pt1 Pt 0.5000 0.5000 0.0000
```

Top 10 peaks for 2θ = 10–90°, sorted by position:
| 2θ/deg | Rel. int. |
| --- | --- |
| 38.51 | 100 |
| 44.00 | 17 |
| 44.64 | 16 |
| 45.64 | 16 |
| 65.26 | 10 |
| 65.75 | 10 |
| 77.15 | 6 |
| 77.29 | 6 |
| 78.21 | 6 |
| 79.61 | 6 |

***

3.
Ca3SbP: theoretical X-ray diffraction stick pattern (Cu Kα X-rays), based on a structure optimized by DFT (PBE).
Kinematic intensities with the Lorentz-polarization factor, no thermal factor.

```
data_Ca3SbP
_chemical_formula_sum 'Ca6 Sb2 P2'
_cell_length_a 4.5247
_cell_length_b 7.1287
_cell_length_c 9.0205
_cell_angle_alpha 90.00
_cell_angle_beta 90.00
_cell_angle_gamma 90.00
_space_group_name_H-M_alt 'P 1'
_space_group_IT_number 1
loop_
_space_group_symop_operation_xyz
'x,y,z'
loop_
_atom_site_label
_atom_site_type_symbol
_atom_site_fract_x
_atom_site_fract_y
_atom_site_fract_z
Ca1 Ca 0.2500 0.0092 0.1590
Ca2 Ca 0.2500 0.2500 0.5740
Ca3 Ca 0.2500 0.4908 0.1590
Ca4 Ca 0.7500 0.5092 0.8410
Ca5 Ca 0.7500 0.7500 0.4260
Ca6 Ca 0.7500 0.9908 0.8410
Sb1 Sb 0.2500 0.7500 0.6523
Sb2 Sb 0.7500 0.2500 0.3477
P1 P 0.2500 0.2500 0.8945
P2 P 0.7500 0.7500 0.1055
```

Top 10 peaks for 2θ = 10–90°, sorted by position:
| 2θ/deg | Rel. int. |
| --- | --- |
| 15.85 | 28 |
| 23.33 | 38 |
| 26.90 | 35 |
| 27.93 | 72 |
| 33.51 | 100 |
| 38.09 | 32 |
| 39.20 | 26 |
| 39.85 | 27 |
| 59.37 | 19 |
| 66.86 | 23 |

***

Number 3 is which compound? Ca3SbP